Computed X-ray powder pattern of KLiPb3 for Cu Kα (weighted mean of Kα1 and Kα2), from a structure optimized by DFT (GGA-PBE).
Neutral-atom scattering factors, no anomalous dispersion.

Most intense lines, 2θ = 15–90°, sorted by position:
h k l, 2theta, Rel. int.
2 0 -1, 18.69, 12
1 1 0, 19.53, 13
1 1 1, 28.88, 100
2 0 -2, 35.17, 21
0 2 0, 37.03, 18
5 1 -1, 37.75, 47
6 0 0, 41.81, 13
2 2 -2, 52.00, 14
1 1 -3, 59.30, 14
1 3 1, 61.82, 12

```
data_KLiPb3
_chemical_formula_sum 'K2 Li2 Pb6'
_cell_length_a 13.922
_cell_length_b 4.855
_cell_length_c 5.103
_cell_angle_alpha 90.00
_cell_angle_beta 111.43
_cell_angle_gamma 90.00
_space_group_name_H-M_alt 'C 1 m 1'
_space_group_IT_number 8
_space_group_name_Hall 'C -2y'
loop_
_atom_site_label
_atom_site_type_symbol
_atom_site_fract_x
_atom_site_fract_y
_atom_site_fract_z
K1 K 0.000 0.000 0.000
Li1 Li 0.123 0.500 0.623
Pb1 Pb 0.244 0.500 0.243
Pb2 Pb 0.253 0.000 0.754
Pb3 Pb 0.403 0.000 0.403
```